Structure and simulated PXRD pattern of CeRuS (a DFT-relaxed cell (PBE, Alexandria); Cu Kα, 1.54184 Å).
Intensities are scaled so that the largest is 100.

abc: 4.0417 5.4041 5.6407
angles: 90.00 90.06 103.30
Fractional positions:
Ce 0.1801 0.2547 0.2496
Ce 0.8199 0.7453 0.7504
Ru 0.3643 0.8849 0.2486
Ru 0.6357 0.1151 0.7514
S 0.1997 0.3494 0.7494
S 0.8003 0.6506 0.2506

Most intense lines, 2θ = 15–90°, in order of rising 2θ:
| 2θ/deg | I (rel.) |
| --- | --- |
| 27.65 | 100 |
| 31.38 | 31 |
| 31.73 | 91 |
| 34.10 | 18 |
| 35.28 | 51 |
| 36.47 | 28 |
| 39.93 | 41 |
| 45.23 | 22 |
| 45.37 | 17 |
| 49.10 | 23 |
| 54.84 | 27 |
| 56.42 | 18 |

Structure and simulated PXRD pattern of TbPmDyHg (a DFT-relaxed cell (PBE, Alexandria); Cu Kα, 1.54184 Å).
Intensities are scaled so that the largest is 100.

abc: 3.6476 3.6476 8.8938
angles: 90.00 90.00 90.00
Fractional positions:
Tb 0.0000 0.0000 0.0000
Pm 0.5000 0.5000 0.2822
Dy 0.0000 0.0000 0.5634
Hg 0.5000 0.5000 0.7796

Most intense lines, 2θ = 15–90°, in order of rising 2θ:
| 2θ/deg | I (rel.) |
| --- | --- |
| 31.73 | 100 |
| 34.78 | 42 |
| 39.16 | 8 |
| 40.57 | 10 |
| 50.01 | 15 |
| 54.49 | 17 |
| 60.45 | 32 |
| 66.28 | 10 |
| 68.30 | 6 |
| 82.19 | 7 |
| 83.88 | 7 |
| 89.29 | 6 |

Structure and simulated PXRD pattern of PrHo8Hg2 (a DFT-relaxed cell (PBE, Alexandria); Cu Kα, 1.54184 Å).
Intensities are scaled so that the largest is 100.

abc: 8.6108 8.6108 5.5408
angles: 100.21 100.21 118.58
Fractional positions:
Pr 0.0000 0.0000 0.0000
Ho 0.0916 0.3216 0.6088
Ho 0.2273 0.7727 0.0000
Ho 0.3216 0.0916 0.6088
Ho 0.4022 0.4022 0.2027
Ho 0.5978 0.5978 0.7973
Ho 0.6784 0.9084 0.3912
Ho 0.7727 0.2273 0.0000
Ho 0.9084 0.6784 0.3912
Hg 0.3066 0.6934 0.5000
Hg 0.6934 0.3066 0.5000

Most intense lines, 2θ = 15–90°, in order of rising 2θ:
| 2θ/deg | I (rel.) |
| --- | --- |
| 24.71 | 26 |
| 29.49 | 49 |
| 29.63 | 77 |
| 31.67 | 95 |
| 32.07 | 53 |
| 32.50 | 86 |
| 32.91 | 49 |
| 34.69 | 100 |
| 35.97 | 26 |
| 36.66 | 26 |
| 59.96 | 29 |
| 61.32 | 25 |

Repeat the first record exactly.
Structure and simulated PXRD pattern of CeRuS (a DFT-relaxed cell (PBE, Alexandria); Cu Kα, 1.54184 Å).
Intensities are scaled so that the largest is 100.

abc: 4.0417 5.4041 5.6407
angles: 90.00 90.06 103.30
Fractional positions:
Ce 0.1801 0.2547 0.2496
Ce 0.8199 0.7453 0.7504
Ru 0.3643 0.8849 0.2486
Ru 0.6357 0.1151 0.7514
S 0.1997 0.3494 0.7494
S 0.8003 0.6506 0.2506

Most intense lines, 2θ = 15–90°, in order of rising 2θ:
| 2θ/deg | I (rel.) |
| --- | --- |
| 27.65 | 100 |
| 31.38 | 31 |
| 31.73 | 91 |
| 34.10 | 18 |
| 35.28 | 51 |
| 36.47 | 28 |
| 39.93 | 41 |
| 45.23 | 22 |
| 45.37 | 17 |
| 49.10 | 23 |
| 54.84 | 27 |
| 56.42 | 18 |